[1]
Computed XRD peak list of Tb7DyTh4 for Cu Kα, from a structure optimized by DFT (PBE).
Lines closer than 0.1° are merged.

Largest 10 diffraction maxima, sorted by position, 15° ≤ 2θ ≤ 90°:
| 2θ (°) | I_rel | hkl |
| --- | --- | --- |
| 30.64 | 100 | 1 0 4 |
| 30.91 | 32 | 0 0 12 |
| 35.60 | 67 | 0 1 8 |
| 51.05 | 24 | 1 1 0 |
| 51.42 | 24 | 1 0 16 |
| 60.72 | 15 | 0 2 4 |
| 60.88 | 29 | 1 1 12 |
| 61.21 | 14 | 0 1 20 |
| 63.79 | 13 | 2 0 8 |
| 83.24 | 12 | 2 1 4 |

Cell and atoms:
```
data_Tb7DyTh4
_cell_length_a 3.5781
_cell_length_b 3.5781
_cell_length_c 34.7118
_cell_angle_alpha 90.00
_cell_angle_beta 90.00
_cell_angle_gamma 120.00
_space_group_name_H-M_alt 'P -3 m 1'
_space_group_IT_number 164
_space_group_name_Hall '-P 3 2"'
loop_
_atom_site_label
_atom_site_fract_x
_atom_site_fract_y
_atom_site_fract_z
Tb1 0.0000 0.0000 0.0000
Tb2 0.0000 0.0000 0.2516
Tb3 0.3333 0.6667 0.1644
Tb4 0.3333 0.6667 0.4155
Dy1 0.0000 0.0000 0.5000
Th1 0.3333 0.6667 0.6670
Th2 0.3333 0.6667 0.9166
```

---

[2]
Computed XRD peak list of Nd5Al4Ag for Cu Kα, from a structure optimized by DFT (PBE).
Lines closer than 0.1° are merged.

Largest 10 diffraction maxima, sorted by position, 15° ≤ 2θ ≤ 90°:
| 2θ (°) | I_rel | hkl |
| --- | --- | --- |
| 23.31 | 18 | 0 0 5 |
| 24.09 | 33 | 1 0 0 |
| 33.77 | 100 | 1 0 5 |
| 34.33 | 48 | 1 1 0 |
| 41.91 | 16 | 1 1 5 |
| 47.67 | 9 | 0 0 10 |
| 49.33 | 17 | 2 0 0 |
| 60.05 | 18 | 1 1 10 |
| 61.12 | 36 | 2 1 5 |
| 71.03 | 11 | 2 0 10 |

Cell and atoms:
```
data_Nd5Al4Ag
_cell_length_a 3.6944
_cell_length_b 3.6944
_cell_length_c 19.0768
_cell_angle_alpha 90.00
_cell_angle_beta 90.00
_cell_angle_gamma 90.00
_space_group_name_H-M_alt 'P 4/m m m'
_space_group_IT_number 123
_space_group_name_Hall '-P 4 2'
loop_
_atom_site_label
_atom_site_fract_x
_atom_site_fract_y
_atom_site_fract_z
Nd1 0.0000 0.0000 0.0000
Nd2 0.0000 0.0000 0.1973
Nd3 0.0000 0.0000 0.3956
Al1 0.5000 0.5000 0.0986
Al2 0.5000 0.5000 0.2988
Ag1 0.5000 0.5000 0.5000
```

---

[3]
Computed XRD peak list of KMnCl3 for Cu Kα, from a structure optimized by DFT (PBE).
Lines closer than 0.1° are merged.

Largest 10 diffraction maxima, sorted by position, 15° ≤ 2θ ≤ 90°:
| 2θ (°) | I_rel | hkl |
| --- | --- | --- |
| 21.65 | 37 | 0 2 0 |
| 22.07 | 79 | 0 1 3 |
| 26.91 | 77 | 1 1 1 |
| 27.02 | 77 | 1 0 2 |
| 32.33 | 53 | 1 2 0 |
| 34.13 | 45 | 0 1 5 |
| 34.89 | 95 | 1 2 2 |
| 41.35 | 100 | 1 3 1 |
| 41.75 | 90 | 1 2 4 |
| 41.98 | 36 | 1 1 5 |

Cell and atoms:
```
data_KMnCl3
_cell_length_a 3.7523
_cell_length_b 8.2091
_cell_length_c 13.8662
_cell_angle_alpha 90.00
_cell_angle_beta 90.00
_cell_angle_gamma 90.00
_space_group_name_H-M_alt 'A m m 2'
_space_group_IT_number 38
_space_group_name_Hall 'A 2 -2'
loop_
_atom_site_label
_atom_site_fract_x
_atom_site_fract_y
_atom_site_fract_z
K1 0.0000 0.0000 0.0000
Mn1 0.5000 0.0000 0.3340
Cl1 0.0000 0.1981 0.3731
Cl2 0.5000 0.0000 0.1649
```

---

[4]
Computed XRD peak list of TlZn2In for Cu Kα, from a structure optimized by DFT (PBE).
Lines closer than 0.1° are merged.

Largest 10 diffraction maxima, sorted by position, 15° ≤ 2θ ≤ 90°:
| 2θ (°) | I_rel | hkl |
| --- | --- | --- |
| 27.56 | 32 | 1 1 0 |
| 28.77 | 27 | 2 0 1 |
| 32.58 | 27 | 4 0 -1 |
| 32.90 | 46 | 4 0 0 |
| 35.16 | 100 | 1 1 1 |
| 36.96 | 40 | 2 0 -2 |
| 37.35 | 83 | 3 1 -1 |
| 46.85 | 14 | 2 0 2 |
| 49.76 | 24 | 5 1 0 |
| 54.11 | 17 | 0 2 0 |

Cell and atoms:
```
data_TlZn2In
_cell_length_a 11.4456
_cell_length_b 3.3895
_cell_length_c 4.9032
_cell_angle_alpha 90.00
_cell_angle_beta 107.91
_cell_angle_gamma 90.00
_space_group_name_H-M_alt 'C 1 m 1'
_space_group_IT_number 8
_space_group_name_Hall 'C -2y'
loop_
_atom_site_label
_atom_site_fract_x
_atom_site_fract_y
_atom_site_fract_z
Tl1 0.0000 0.0000 0.0000
Zn1 0.0572 0.5000 0.5374
Zn2 0.2434 0.0000 0.8225
In1 0.2902 0.5000 0.3538
```